[1]
The following is a simulated PXRD pattern of Tb4Tl2CdHg. It was derived from DFT lattice parameters and positions (GGA-PBE), using CuKα.
Neutral-atom scattering factors, no anomalous dispersion.

Cell and atoms:
a = 9.245 Å, b = 9.245 Å, c = 9.245 Å
α = 33.59°, β = 33.59°, γ = 33.59°
Fractional coordinates of all 8 atoms:
Tb 0.123 0.123 0.123
Tb 0.373 0.373 0.373
Tb 0.627 0.627 0.627
Tb 0.877 0.877 0.877
Tl 0.248 0.248 0.248
Tl 0.752 0.752 0.752
Cd 0.500 0.500 0.500
Hg 0.000 0.000 0.000

Largest 7 diffraction maxima, sorted by position, 2θ from 5° to 70°:
Position (°2θ), Rel. int.
10.15, 0.8
19.48, 0.9
20.37, 0.9
33.56, 100.0
46.16, 0.8
48.19, 18.2
60.00, 37.7



[2]
The following is a simulated PXRD pattern of Dy4P2S. It was derived from DFT lattice parameters and positions (GGA-PBE), using CuKα.
Neutral-atom scattering factors, no anomalous dispersion.

Cell and atoms:
a = 7.596 Å, b = 7.596 Å, c = 7.596 Å
α = 110.39°, β = 110.39°, γ = 107.66°
Fractional coordinates of all 14 atoms:
Dy 0.205 0.258 0.552
Dy 0.205 0.653 0.948
Dy 0.258 0.205 0.052
Dy 0.347 0.795 0.552
Dy 0.653 0.205 0.448
Dy 0.742 0.795 0.948
Dy 0.795 0.347 0.052
Dy 0.795 0.742 0.448
P 0.000 0.500 0.500
P 0.500 0.000 0.000
P 0.500 0.500 0.000
P 0.500 0.500 0.500
S 0.125 0.875 0.250
S 0.875 0.125 0.750

Largest 10 diffraction maxima, sorted by position, 2θ from 5° to 70°:
Position (°2θ), Rel. int.
25.02, 20.0
28.64, 100.0
29.13, 77.3
31.67, 57.2
32.55, 46.2
38.76, 28.8
41.66, 25.0
48.59, 37.1
52.74, 23.3
53.84, 19.4



[3]
The following is a simulated PXRD pattern of Rb3RuO4. It was derived from DFT lattice parameters and positions (GGA-PBE), using CuKα.
Neutral-atom scattering factors, no anomalous dispersion.

Cell and atoms:
a = 8.161 Å, b = 9.585 Å, c = 8.759 Å
α = 90.00°, β = 90.00°, γ = 90.00°
Fractional coordinates of all 32 atoms:
Rb 0.031 0.030 0.232
Rb 0.031 0.470 0.232
Rb 0.185 0.750 0.464
Rb 0.315 0.250 0.964
Rb 0.469 0.530 0.732
Rb 0.469 0.970 0.732
Rb 0.531 0.030 0.268
Rb 0.531 0.470 0.268
Rb 0.685 0.750 0.036
Rb 0.815 0.250 0.536
Rb 0.969 0.530 0.768
Rb 0.969 0.970 0.768
Ru 0.220 0.750 0.995
Ru 0.280 0.250 0.495
Ru 0.720 0.750 0.505
Ru 0.780 0.250 0.005
O 0.029 0.750 0.109
O 0.191 0.076 0.530
O 0.191 0.424 0.530
O 0.223 0.750 0.781
O 0.277 0.250 0.281
O 0.309 0.576 0.030
O 0.309 0.924 0.030
O 0.471 0.250 0.609
O 0.529 0.750 0.391
O 0.691 0.076 0.970
O 0.691 0.424 0.970
O 0.723 0.750 0.719
O 0.777 0.250 0.219
O 0.809 0.576 0.470
O 0.809 0.924 0.470
O 0.971 0.250 0.891

Largest 10 diffraction maxima, sorted by position, 2θ from 5° to 70°:
Position (°2θ), Rel. int.
27.59, 100.0
28.73, 80.5
29.75, 14.3
29.93, 83.5
35.69, 15.5
37.53, 26.3
41.23, 19.5
48.73, 24.7
51.03, 29.2
57.56, 19.3



[4]
The following is a simulated PXRD pattern of Pr2TmSb4. It was derived from DFT lattice parameters and positions (GGA-PBE), using CuKα.
Neutral-atom scattering factors, no anomalous dispersion.

Cell and atoms:
a = 4.361 Å, b = 4.361 Å, c = 11.762 Å
α = 90.00°, β = 90.00°, γ = 90.00°
Fractional coordinates of all 7 atoms:
Pr 0.000 0.500 0.212
Pr 0.500 0.000 0.788
Tm 0.000 0.000 0.500
Sb 0.000 0.000 0.000
Sb 0.000 0.500 0.675
Sb 0.500 0.000 0.325
Sb 0.500 0.500 0.000

Largest 10 diffraction maxima, sorted by position, 2θ from 5° to 70°:
Position (°2θ), Rel. int.
21.74, 13.7
25.43, 39.8
30.40, 11.9
30.67, 10.9
32.80, 100.0
36.87, 27.0
41.41, 35.5
49.23, 13.1
56.63, 15.5
60.01, 11.8



[5]
The following is a simulated PXRD pattern of AcRu2F11. It was derived from DFT lattice parameters and positions (GGA-PBE), using CuKα.
Neutral-atom scattering factors, no anomalous dispersion.

Cell and atoms:
a = 8.450 Å, b = 8.450 Å, c = 8.450 Å
α = 115.11°, β = 114.89°, γ = 98.91°
Fractional coordinates of all 28 atoms:
Ac 0.250 0.250 0.000
Ac 0.750 0.750 0.000
Ru 0.158 0.658 0.816
Ru 0.342 0.158 0.500
Ru 0.658 0.842 0.500
Ru 0.842 0.342 0.184
F 0.000 0.500 0.500
F 0.071 0.355 0.173
F 0.102 0.929 0.284
F 0.145 0.429 0.827
F 0.182 0.898 0.827
F 0.198 0.302 0.500
F 0.302 0.802 0.104
F 0.318 0.145 0.716
F 0.355 0.182 0.284
F 0.398 0.682 0.827
F 0.429 0.602 0.284
F 0.500 0.000 0.500
F 0.571 0.398 0.716
F 0.602 0.318 0.173
F 0.645 0.818 0.716
F 0.682 0.855 0.284
F 0.698 0.198 0.896
F 0.802 0.698 0.500
F 0.818 0.102 0.173
F 0.855 0.571 0.173
F 0.898 0.071 0.716
F 0.929 0.645 0.827

Largest 10 diffraction maxima, sorted by position, 2θ from 5° to 70°:
Position (°2θ), Rel. int.
13.79, 31.6
21.29, 100.0
23.35, 48.2
25.45, 67.9
31.15, 36.4
43.36, 27.7
44.63, 16.2
45.48, 31.3
45.71, 34.3
54.03, 15.6



[6]
The following is a simulated PXRD pattern of Tm2ZrSc2. It was derived from DFT lattice parameters and positions (GGA-PBE), using CuKα.
Neutral-atom scattering factors, no anomalous dispersion.

Cell and atoms:
a = 5.867 Å, b = 5.867 Å, c = 9.023 Å
α = 100.06°, β = 100.06°, γ = 114.64°
Fractional coordinates of all 10 atoms:
Tm 0.089 0.089 0.358
Tm 0.259 0.259 0.055
Tm 0.741 0.741 0.945
Tm 0.911 0.911 0.642
Zr 0.299 0.701 0.500
Zr 0.701 0.299 0.500
Sc 0.142 0.550 0.806
Sc 0.450 0.858 0.194
Sc 0.550 0.142 0.806
Sc 0.858 0.450 0.194

Largest 10 diffraction maxima, sorted by position, 2θ from 5° to 70°:
Position (°2θ), Rel. int.
17.96, 41.0
20.79, 32.4
22.57, 49.6
30.99, 41.7
31.45, 86.1
34.32, 60.4
34.78, 64.6
35.53, 95.5
36.42, 100.0
55.89, 38.4



[7]
The following is a simulated PXRD pattern of PmMgCoH6. It was derived from DFT lattice parameters and positions (GGA-PBE), using CuKα.
Neutral-atom scattering factors, no anomalous dispersion.

Cell and atoms:
a = 4.523 Å, b = 4.523 Å, c = 4.380 Å
α = 90.00°, β = 90.00°, γ = 120.00°
Fractional coordinates of all 9 atoms:
Pm 0.000 0.000 0.000
Mg 0.333 0.667 0.500
Co 0.667 0.333 0.500
H 0.525 0.051 0.234
H 0.525 0.051 0.766
H 0.525 0.475 0.234
H 0.525 0.475 0.766
H 0.949 0.475 0.234
H 0.949 0.475 0.766

Largest 10 diffraction maxima, sorted by position, 2θ from 5° to 70°:
Position (°2θ), Rel. int.
22.70, 30.6
30.62, 100.0
39.86, 35.3
41.23, 10.2
46.36, 5.5
47.57, 9.5
51.09, 23.7
58.69, 22.7
66.69, 20.8
68.61, 9.6



[8]
The following is a simulated PXRD pattern of TeO6. It was derived from DFT lattice parameters and positions (GGA-PBE), using CuKα.
Neutral-atom scattering factors, no anomalous dispersion.

Cell and atoms:
a = 5.324 Å, b = 5.324 Å, c = 5.324 Å
α = 60.00°, β = 60.00°, γ = 60.00°
Fractional coordinates of all 7 atoms:
Te 0.000 0.000 0.000
O 0.261 0.261 0.739
O 0.261 0.739 0.261
O 0.261 0.739 0.739
O 0.739 0.261 0.261
O 0.739 0.261 0.739
O 0.739 0.739 0.261

Largest 10 diffraction maxima, sorted by position, 2θ from 5° to 70°:
Position (°2θ), Rel. int.
20.43, 99.7
23.63, 100.0
33.67, 25.6
39.70, 62.7
41.55, 1.0
48.35, 25.0
53.01, 30.2
54.50, 35.5
60.21, 10.7
64.28, 17.8



[9]
The following is a simulated PXRD pattern of In3GeRh3. It was derived from DFT lattice parameters and positions (GGA-PBE), using CuKα.
Neutral-atom scattering factors, no anomalous dispersion.

Cell and atoms:
a = 5.453 Å, b = 5.453 Å, c = 5.453 Å
α = 108.68°, β = 108.68°, γ = 108.68°
Fractional coordinates of all 7 atoms:
In 0.000 0.500 0.500
In 0.500 0.000 0.500
In 0.500 0.500 0.000
Ge 0.000 0.000 0.000
Rh 0.000 0.000 0.500
Rh 0.000 0.500 0.000
Rh 0.500 0.000 0.000

Largest 10 diffraction maxima, sorted by position, 2θ from 5° to 70°:
Position (°2θ), Rel. int.
19.48, 4.8
20.04, 22.9
28.09, 5.3
33.74, 6.1
35.08, 5.5
39.55, 100.0
40.73, 91.9
44.73, 5.5
53.89, 3.1
58.08, 31.5



[10]
The following is a simulated PXRD pattern of ThAlB2Ir5. It was derived from DFT lattice parameters and positions (GGA-PBE), using CuKα.
Neutral-atom scattering factors, no anomalous dispersion.

Cell and atoms:
a = 4.225 Å, b = 4.225 Å, c = 7.483 Å
α = 90.00°, β = 90.00°, γ = 90.00°
Fractional coordinates of all 9 atoms:
Th 0.000 0.000 0.000
Al 0.000 0.000 0.500
B 0.500 0.500 0.309
B 0.500 0.500 0.691
Ir 0.000 0.500 0.293
Ir 0.000 0.500 0.707
Ir 0.500 0.000 0.293
Ir 0.500 0.000 0.707
Ir 0.500 0.500 0.000

Largest 10 diffraction maxima, sorted by position, 2θ from 5° to 70°:
Position (°2θ), Rel. int.
11.83, 10.3
29.91, 7.6
32.26, 47.1
36.01, 23.5
38.56, 100.0
42.80, 47.4
48.68, 7.1
57.14, 25.2
62.14, 15.9
66.80, 11.1